(1)
Diffraction record for Ba3Zn6Si4TeO20. The powder diffraction line list is theoretical, not measured: it uses a DFT-relaxed cell (GGA-PBE, OQMD) and Cu Kα, 1.54184 Å.
Neutral-atom scattering factors, no anomalous dispersion.

Structure:
a = 9.828 Å, b = 9.828 Å, c = 5.146 Å
α = 103.83°, β = 103.83°, γ = 71.89°
Element x y z (fractional)
Ba (0.000, 0.000, 0.000)
Ba (0.287, 0.287, 0.246)
Ba (0.713, 0.713, 0.754)
Zn (0.134, 0.577, 0.826)
Zn (0.346, 0.654, 0.500)
Zn (0.423, 0.866, 0.174)
Zn (0.577, 0.134, 0.826)
Zn (0.654, 0.346, 0.500)
Zn (0.866, 0.423, 0.174)
Si (0.018, 0.279, 0.656)
Si (0.279, 0.018, 0.656)
Si (0.721, 0.982, 0.344)
Si (0.982, 0.721, 0.344)
Te (0.500, 0.500, 0.000)
O (0.006, 0.276, 0.965)
O (0.107, 0.107, 0.532)
O (0.118, 0.383, 0.653)
O (0.137, 0.687, 0.554)
O (0.276, 0.006, 0.965)
O (0.310, 0.546, 0.107)
O (0.313, 0.863, 0.446)
O (0.383, 0.118, 0.653)
O (0.430, 0.430, 0.631)
O (0.454, 0.690, 0.893)
O (0.546, 0.310, 0.107)
O (0.570, 0.570, 0.369)
O (0.617, 0.882, 0.347)
O (0.687, 0.137, 0.554)
O (0.690, 0.454, 0.893)
O (0.724, 0.994, 0.035)
O (0.863, 0.313, 0.446)
O (0.882, 0.617, 0.347)
O (0.893, 0.893, 0.468)
O (0.994, 0.724, 0.035)

The 10 most intense peaks (2θ from 10° to 90°), sorted by position:
d = 3.174 Å, 2θ = 28.12°, intensity 76; d = 3.093 Å, 2θ = 28.87°, intensity 90; d = 3.080 Å, 2θ = 28.99°, intensity 30; d = 3.028 Å, 2θ = 29.50°, intensity 100; d = 2.872 Å, 2θ = 31.14°, intensity 38; d = 2.837 Å, 2θ = 31.53°, intensity 24; d = 2.572 Å, 2θ = 34.88°, intensity 50; d = 2.023 Å, 2θ = 44.81°, intensity 34; d = 1.656 Å, 2θ = 55.50°, intensity 28; d = 1.632 Å, 2θ = 56.36°, intensity 26


(2)
Diffraction record for BaZn2Si2O7. The powder diffraction line list is theoretical, not measured: it uses a DFT-relaxed cell (GGA-PBE, OQMD) and Cu Kα, 1.54184 Å.
Neutral-atom scattering factors, no anomalous dispersion.

Structure:
a = 7.539 Å, b = 7.539 Å, c = 6.756 Å
α = 90.00°, β = 90.00°, γ = 60.19°
Element x y z (fractional)
Ba (0.240, 0.760, 0.500)
Ba (0.760, 0.240, 0.000)
Zn (0.225, 0.229, 0.251)
Zn (0.229, 0.225, 0.751)
Zn (0.771, 0.775, 0.251)
Zn (0.775, 0.771, 0.751)
Si (0.186, 0.580, 0.003)
Si (0.420, 0.814, 0.003)
Si (0.580, 0.186, 0.503)
Si (0.814, 0.420, 0.503)
O (0.062, 0.679, 0.205)
O (0.064, 0.682, 0.800)
O (0.281, 0.330, 0.001)
O (0.318, 0.936, 0.800)
O (0.321, 0.938, 0.205)
O (0.330, 0.281, 0.501)
O (0.398, 0.602, 0.006)
O (0.602, 0.398, 0.506)
O (0.670, 0.719, 0.001)
O (0.679, 0.062, 0.705)
O (0.682, 0.064, 0.300)
O (0.719, 0.670, 0.501)
O (0.936, 0.318, 0.300)
O (0.938, 0.321, 0.705)

The 10 most intense peaks (2θ from 10° to 90°), sorted by position:
d = 4.700 Å, 2θ = 18.88°, intensity 19; d = 3.292 Å, 2θ = 27.08°, intensity 68; d = 3.270 Å, 2θ = 27.27°, intensity 100; d = 3.000 Å, 2θ = 29.78°, intensity 67; d = 2.518 Å, 2θ = 35.66°, intensity 42; d = 2.317 Å, 2θ = 38.87°, intensity 24; d = 2.075 Å, 2θ = 43.62°, intensity 14; d = 1.994 Å, 2θ = 45.50°, intensity 28; d = 1.598 Å, 2θ = 57.67°, intensity 24; d = 1.501 Å, 2θ = 61.82°, intensity 17


(3)
Diffraction record for Ba3Sm4O9. The powder diffraction line list is theoretical, not measured: it uses a DFT-relaxed cell (GGA-PBE, OQMD) and Cu Kα, 1.54184 Å.
Neutral-atom scattering factors, no anomalous dispersion.

Structure:
a = 9.359 Å, b = 9.359 Å, c = 9.359 Å
α = 38.76°, β = 38.76°, γ = 38.76°
Element x y z (fractional)
Ba (0.000, 0.000, 0.000)
Ba (0.166, 0.166, 0.166)
Ba (0.583, 0.583, 0.583)
Sm (0.301, 0.301, 0.301)
Sm (0.427, 0.427, 0.427)
Sm (0.739, 0.739, 0.739)
Sm (0.865, 0.865, 0.865)
O (0.002, 0.584, 0.163)
O (0.041, 0.439, 0.600)
O (0.125, 0.563, 0.730)
O (0.163, 0.002, 0.584)
O (0.439, 0.600, 0.041)
O (0.563, 0.730, 0.125)
O (0.584, 0.163, 0.002)
O (0.600, 0.041, 0.439)
O (0.730, 0.125, 0.563)

The 10 most intense peaks (2θ from 10° to 90°), sorted by position:
d = 3.106 Å, 2θ = 28.75°, intensity 100; d = 3.051 Å, 2θ = 29.27°, intensity 84; d = 2.176 Å, 2θ = 41.49°, intensity 42; d = 2.112 Å, 2θ = 42.81°, intensity 16; d = 1.793 Å, 2θ = 50.93°, intensity 25; d = 1.782 Å, 2θ = 51.26°, intensity 37; d = 1.553 Å, 2θ = 59.54°, intensity 21; d = 1.384 Å, 2θ = 67.71°, intensity 15; d = 1.174 Å, 2θ = 82.11°, intensity 11; d = 1.171 Å, 2θ = 82.37°, intensity 11


(4)
Diffraction record for BaSrTa2O7. The powder diffraction line list is theoretical, not measured: it uses a DFT-relaxed cell (GGA-PBE, OQMD) and Cu Kα, 1.54184 Å.
Neutral-atom scattering factors, no anomalous dispersion.

Structure:
a = 10.990 Å, b = 10.990 Å, c = 10.990 Å
α = 159.02°, β = 138.14°, γ = 47.28°
Element x y z (fractional)
Ba (0.239, 0.239, 0.000)
Ba (0.761, 0.761, 0.000)
Sr (0.000, 0.000, 0.000)
Sr (0.500, 0.000, 0.500)
Ta (0.144, 0.396, 0.748)
Ta (0.352, 0.604, 0.748)
Ta (0.648, 0.396, 0.252)
Ta (0.856, 0.604, 0.252)
O (0.006, 0.305, 0.700)
O (0.079, 0.579, 0.500)
O (0.153, 0.907, 0.247)
O (0.290, 0.500, 0.790)
O (0.340, 0.093, 0.247)
O (0.385, 0.385, 0.000)
O (0.395, 0.695, 0.700)
O (0.605, 0.305, 0.300)
O (0.615, 0.615, 0.000)
O (0.660, 0.907, 0.753)
O (0.710, 0.500, 0.210)
O (0.847, 0.093, 0.753)
O (0.921, 0.421, 0.500)
O (0.994, 0.695, 0.300)

The 10 most intense peaks (2θ from 10° to 90°), sorted by position:
d = 3.925 Å, 2θ = 22.65°, intensity 45; d = 3.358 Å, 2θ = 26.55°, intensity 39; d = 3.096 Å, 2θ = 28.84°, intensity 100; d = 2.839 Å, 2θ = 31.52°, intensity 59; d = 2.776 Å, 2θ = 32.25°, intensity 73; d = 2.001 Å, 2θ = 45.33°, intensity 27; d = 1.963 Å, 2θ = 46.25°, intensity 24; d = 1.748 Å, 2θ = 52.32°, intensity 35; d = 1.680 Å, 2θ = 54.62°, intensity 36; d = 1.615 Å, 2θ = 57.04°, intensity 26